No. 1
The following is a simulated powder diffraction line list of VOF3. It was derived from the GGA+U geometry in Alexandria, using Cu Kα, 1.54184 Å.
Intensities are scaled so that the largest is 100.

Structural model:
a = 6.041 Å, b = 6.041 Å, c = 7.988 Å
α = 90.00°, β = 90.00°, γ = 90.00°
Space group P4_1 (No. 76)
Unique sites:
V 0.004 0.269 0.000 x4
O 0.030 0.771 0.708 x4
F 0.016 0.209 0.746 x4
F 0.213 0.549 0.450 x4
F 0.219 0.463 0.994 x4

Top 12 peaks for 2θ from 5° to 70°, low angle first:
(1 0 0), 2θ 14.66, d = 6.041 Å, I = 71; (1 0 1), 2θ 18.41, d = 4.818 Å, I = 99; (1 1 1), 2θ 23.62, d = 3.767 Å, I = 100; (1 0 2), 2θ 26.76, d = 3.332 Å, I = 48; (1 0 3), 2θ 36.89, d = 2.437 Å, I = 16; (2 2 0), 2θ 42.32, d = 2.136 Å, I = 59; (0 0 4), 2θ 45.41, d = 1.997 Å, I = 24; (1 2 3), 2θ 47.97, d = 1.896 Å, I = 13; (1 3 1), 2θ 49.03, d = 1.858 Å, I = 14; (2 3 1), 2θ 56.08, d = 1.640 Å, I = 13; (2 3 2), 2θ 59.86, d = 1.545 Å, I = 17; (2 2 4), 2θ 63.80, d = 1.459 Å, I = 22



No. 2
The following is a simulated powder diffraction line list of VOF3. It was derived from the GGA+U geometry in Alexandria, using Cu Kα, 1.54184 Å.
Intensities are scaled so that the largest is 100.

Structural model:
a = 5.421 Å, b = 5.574 Å, c = 5.443 Å
α = 90.00°, β = 115.93°, γ = 90.00°
Space group P2_1 (No. 4)
Unique sites:
V 0.221 0.000 0.212 x2
O 0.038 0.213 0.003 x2
F 0.061 0.947 0.429 x2
F 0.422 0.873 0.061 x2
F 0.500 0.165 0.463 x2

Top 12 peaks for 2θ from 5° to 70°, low angle first:
(1 0 -1), 2θ 19.28, d = 4.604 Å, I = 39; (0 1 1), 2θ 24.23, d = 3.674 Å, I = 100; (1 0 1), 2θ 31.04, d = 2.881 Å, I = 8; (1 2 -1), 2θ 37.73, d = 2.384 Å, I = 8; (2 0 -2), 2θ 39.13, d = 2.302 Å, I = 9; (1 2 1), 2θ 45.27, d = 2.003 Å, I = 19; (2 2 0), 2θ 49.69, d = 1.835 Å, I = 5; (2 1 1), 2θ 51.28, d = 1.782 Å, I = 7; (1 3 0), 2θ 52.71, d = 1.737 Å, I = 5; (2 1 -3), 2θ 54.79, d = 1.675 Å, I = 6; (3 1 -2), 2θ 54.93, d = 1.671 Å, I = 6; (3 0 -3), 2θ 60.33, d = 1.534 Å, I = 6



No. 3
The following is a simulated powder diffraction line list of V4O7F5. It was derived from the GGA+U geometry in Alexandria, using Cu Kα, 1.54184 Å.
Intensities are scaled so that the largest is 100.

Structural model:
a = 5.282 Å, b = 5.367 Å, c = 7.413 Å
α = 88.80°, β = 89.58°, γ = 88.82°
Space group P1 (No. 1)
Unique sites:
V 0.000 0.000 0.000 x1
V 0.057 0.979 0.496 x1
V 0.474 0.519 0.945 x1
V 0.553 0.473 0.445 x1
O 0.081 0.000 0.721 x1
O 0.229 0.709 0.006 x1
O 0.290 0.781 0.440 x1
O 0.442 0.505 0.723 x1
O 0.587 0.498 0.222 x1
O 0.741 0.231 0.503 x1
O 0.949 0.007 0.223 x1
F 0.239 0.284 0.436 x1
F 0.311 0.211 0.006 x1
F 0.716 0.788 0.933 x1
F 0.791 0.728 0.510 x1
F 0.796 0.297 0.933 x1

Top 12 peaks for 2θ from 5° to 70°, low angle first:
(1 1 0), 2θ 23.39, d = 3.803 Å, I = 100; (1 -1 0), 2θ 23.89, d = 3.726 Å, I = 97; (0 0 2), 2θ 24.01, d = 3.706 Å, I = 100; (0 2 0), 2θ 33.42, d = 2.681 Å, I = 20; (-1 1 2), 2θ 33.95, d = 2.640 Å, I = 16; (2 1 1), 2θ 39.50, d = 2.282 Å, I = 10; (2 2 0), 2θ 47.84, d = 1.901 Å, I = 26; (2 -2 0), 2θ 48.90, d = 1.863 Å, I = 18; (0 0 4), 2θ 49.17, d = 1.853 Å, I = 18; (1 3 0), 2θ 53.77, d = 1.705 Å, I = 21; (1 -3 0), 2θ 54.52, d = 1.683 Å, I = 13; (2 2 -2), 2θ 54.68, d = 1.679 Å, I = 14